1.
Theoretical powder diffraction line list
Compound: K3Na6Hg2
Radiation: Cu Ka
Structure: a cell relaxed with PBE
Neutral-atom scattering factors, no anomalous dispersion.

Principal peaks in the range 10 to 80 degrees two-theta, low angle first:
d [Å]	I_rel
4.588	1000
3.471	526
3.057	602
2.861	782
2.164	488
1.863	442

Cell and atoms:
Cell: 19.6728 19.6728 19.6728 Å, 165.67 165.67 20.32°
Fractional coordinates of all 11 atoms:
K1 0.0000 0.0000 0.0000
K2 0.1704 0.1704 0.0000
K3 0.8296 0.8296 0.0000
Na1 0.0867 0.5867 0.5000
Na2 0.2741 0.2741 0.0000
Na3 0.4133 0.9133 0.5000
Na4 0.5867 0.0867 0.5000
Na5 0.7259 0.7259 0.0000
Na6 0.9133 0.4133 0.5000
Hg1 0.3587 0.3587 0.0000
Hg2 0.6413 0.6413 0.0000

***

2.
Theoretical powder diffraction line list
Compound: Rb2Hg15Pb2
Radiation: Cu Ka
Structure: a cell relaxed with PBE
Neutral-atom scattering factors, no anomalous dispersion.

Principal peaks in the range 10 to 80 degrees two-theta, low angle first:
d [Å]	I_rel
2.854	317
2.761	469
2.732	911
2.695	508
2.522	362
2.437	1000

Cell and atoms:
Cell: 8.4449 8.4449 8.4449 Å, 79.31 79.31 79.31°
Fractional coordinates of all 19 atoms:
Rb1 0.1687 0.1687 0.1687
Rb2 0.8313 0.8313 0.8313
Hg1 0.0000 0.5000 0.5000
Hg2 0.1314 0.1314 0.6606
Hg3 0.1314 0.6606 0.1314
Hg4 0.2015 0.5000 0.7985
Hg5 0.2015 0.7985 0.5000
Hg6 0.3394 0.8686 0.8686
Hg7 0.5000 0.0000 0.5000
Hg8 0.5000 0.2015 0.7985
Hg9 0.5000 0.5000 0.0000
Hg10 0.5000 0.7985 0.2015
Hg11 0.6606 0.1314 0.1314
Hg12 0.7985 0.2015 0.5000
Hg13 0.7985 0.5000 0.2015
Hg14 0.8686 0.3394 0.8686
Hg15 0.8686 0.8686 0.3394
Pb1 0.4041 0.4041 0.4041
Pb2 0.5959 0.5959 0.5959

***

3.
Theoretical powder diffraction line list
Compound: Ba2SeIBr
Radiation: Cu Ka
Structure: a cell relaxed with PBE
Neutral-atom scattering factors, no anomalous dispersion.

Principal peaks in the range 10 to 80 degrees two-theta, low angle first:
d [Å]	I_rel
4.111	896
3.133	815
2.723	1000
2.404	299
2.055	244
1.950	319

Cell and atoms:
Cell: 5.4470 5.4470 8.3819 Å, 90.00 90.00 120.00°
Fractional coordinates of all 5 atoms:
Ba1 0.0000 0.0000 0.0000
Ba2 0.3333 0.6667 0.4630
Se1 0.0000 0.0000 0.3758
I1 0.6667 0.3333 0.7531
Br1 0.3333 0.6667 0.0672

***

4.
Theoretical powder diffraction line list
Compound: AlTl3
Radiation: Cu Ka
Structure: a cell relaxed with PBE
Neutral-atom scattering factors, no anomalous dispersion.

Principal peaks in the range 10 to 80 degrees two-theta, low angle first:
d [Å]	I_rel
4.411	170
2.701	1000
1.910	185
1.559	389
1.351	121
1.208	170

Cell and atoms:
Cell: 7.6400 7.6400 7.6400 Å, 90.00 90.00 90.00°
Fractional coordinates of all 16 atoms:
Al1 0.0000 0.0000 0.0000
Al2 0.0000 0.5000 0.5000
Al3 0.5000 0.0000 0.5000
Al4 0.5000 0.5000 0.0000
Tl1 0.0000 0.0000 0.5000
Tl2 0.0000 0.5000 0.0000
Tl3 0.2500 0.2500 0.2500
Tl4 0.2500 0.2500 0.7500
Tl5 0.2500 0.7500 0.2500
Tl6 0.2500 0.7500 0.7500
Tl7 0.5000 0.0000 0.0000
Tl8 0.5000 0.5000 0.5000
Tl9 0.7500 0.2500 0.2500
Tl10 0.7500 0.2500 0.7500
Tl11 0.7500 0.7500 0.2500
Tl12 0.7500 0.7500 0.7500

***

5.
Theoretical powder diffraction line list
Compound: RbLi2SnCl8
Radiation: Cu Ka
Structure: a cell relaxed with PBE
Neutral-atom scattering factors, no anomalous dispersion.

Principal peaks in the range 10 to 80 degrees two-theta, low angle first:
d [Å]	I_rel
6.595	1000
5.283	771
4.304	685
3.945	598
3.562	734
2.712	707

Cell and atoms:
Cell: 5.6838 6.6246 8.9391 Å, 86.29 74.55 85.15°
Fractional coordinates of all 12 atoms:
Rb1 0.0000 0.0000 0.0000
Li1 0.2118 0.5586 0.2980
Li2 0.7882 0.4414 0.7020
Sn1 0.5000 0.0000 0.5000
Cl1 0.1951 0.8042 0.6701
Cl2 0.2163 0.3188 0.5232
Cl3 0.2453 0.4999 0.0203
Cl4 0.3936 0.8880 0.2636
Cl5 0.6063 0.1120 0.7364
Cl6 0.7547 0.5001 0.9797
Cl7 0.7837 0.6812 0.4768
Cl8 0.8049 0.1958 0.3299

***

6.
Theoretical powder diffraction line list
Compound: Zr2GaI8
Radiation: Cu Ka
Structure: a cell relaxed with PBE
Neutral-atom scattering factors, no anomalous dispersion.

Principal peaks in the range 10 to 80 degrees two-theta, low angle first:
d [Å]	I_rel
3.972	1000
3.811	482
3.716	653
3.008	227
2.764	253
2.320	370

Cell and atoms:
Cell: 9.3392 9.3392 7.6853 Å, 95.91 95.91 72.57°
Fractional coordinates of all 11 atoms:
Zr1 0.1972 0.1972 0.1464
Zr2 0.8028 0.8028 0.8536
Ga1 0.0000 0.0000 0.5000
I1 0.0852 0.7012 0.7320
I2 0.1865 0.1865 0.7871
I3 0.2988 0.9148 0.2680
I4 0.3714 0.3714 0.2914
I5 0.6286 0.6286 0.7086
I6 0.7012 0.0852 0.7320
I7 0.8135 0.8135 0.2129
I8 0.9148 0.2988 0.2680

***

Copy entry 2 word for word.
Theoretical powder diffraction line list
Compound: Rb2Hg15Pb2
Radiation: Cu Ka
Structure: a cell relaxed with PBE
Neutral-atom scattering factors, no anomalous dispersion.

Principal peaks in the range 10 to 80 degrees two-theta, low angle first:
d [Å]	I_rel
2.854	317
2.761	469
2.732	911
2.695	508
2.522	362
2.437	1000

Cell and atoms:
Cell: 8.4449 8.4449 8.4449 Å, 79.31 79.31 79.31°
Fractional coordinates of all 19 atoms:
Rb1 0.1687 0.1687 0.1687
Rb2 0.8313 0.8313 0.8313
Hg1 0.0000 0.5000 0.5000
Hg2 0.1314 0.1314 0.6606
Hg3 0.1314 0.6606 0.1314
Hg4 0.2015 0.5000 0.7985
Hg5 0.2015 0.7985 0.5000
Hg6 0.3394 0.8686 0.8686
Hg7 0.5000 0.0000 0.5000
Hg8 0.5000 0.2015 0.7985
Hg9 0.5000 0.5000 0.0000
Hg10 0.5000 0.7985 0.2015
Hg11 0.6606 0.1314 0.1314
Hg12 0.7985 0.2015 0.5000
Hg13 0.7985 0.5000 0.2015
Hg14 0.8686 0.3394 0.8686
Hg15 0.8686 0.8686 0.3394
Pb1 0.4041 0.4041 0.4041
Pb2 0.5959 0.5959 0.5959